(1)
For Li4Bi2O5, DFT lattice parameters and positions (PBE) gives the theoretical powder X-ray diffraction pattern in this record (copper Kα).
Kinematic intensities with the Lorentz-polarization factor, no thermal factor.

Structural model:
```
data_Li4Bi2O5
_cell_length_a 13.911
_cell_length_b 5.375
_cell_length_c 8.844
_cell_angle_alpha 90.00
_cell_angle_beta 90.00
_cell_angle_gamma 90.00
_symmetry_space_group_name_H-M 'P n n a'
_symmetry_Int_Tables_number 52
loop_
_symmetry_equiv_pos_as_xyz
'x,y,z'
'-x,-y,-z'
'-x+1/2,-y,z'
'x+1/2,y,-z'
'x,-y+1/2,-z+1/2'
'-x,y+1/2,z+1/2'
'-x+1/2,y+1/2,-z+1/2'
'x+1/2,-y+1/2,z+1/2'
loop_
_atom_site_label
_atom_site_type_symbol
_atom_site_fract_x
_atom_site_fract_y
_atom_site_fract_z
Li1 Li 0.035 0.060 0.139
Li2 Li 0.248 0.750 0.250
Li3 Li 0.250 0.000 0.963
Bi1 Bi 0.118 0.531 0.947
O1 O 0.038 0.059 0.359
O2 O 0.118 0.573 0.527
O3 O 0.250 0.000 0.391
```

Main lines, sorted by position (2θ from 15° to 90°):
2θ 19.32, I = 100
2θ 20.08, I = 41
2θ 25.61, I = 27
2θ 32.29, I = 45
2θ 32.56, I = 15
2θ 32.76, I = 25
2θ 33.34, I = 20
2θ 42.51, I = 14
2θ 44.80, I = 14
2θ 47.44, I = 14

---

(2)
For KHfMg14, DFT lattice parameters and positions (PBE) gives the theoretical powder X-ray diffraction pattern in this record (copper Kα).
Kinematic intensities with the Lorentz-polarization factor, no thermal factor.

Structural model:
```
data_KHfMg14
_cell_length_a 10.389
_cell_length_b 6.637
_cell_length_c 11.269
_cell_angle_alpha 90.00
_cell_angle_beta 90.00
_cell_angle_gamma 90.00
_symmetry_space_group_name_H-M 'A m m 2'
_symmetry_Int_Tables_number 38
loop_
_symmetry_equiv_pos_as_xyz
'x,y,z'
'-x,-y,z'
'-x,y,z'
'x,-y,z'
'x,y+1/2,z+1/2'
'-x,-y+1/2,z+1/2'
'-x,y+1/2,z+1/2'
'x,-y+1/2,z+1/2'
loop_
_atom_site_label
_atom_site_type_symbol
_atom_site_fract_x
_atom_site_fract_y
_atom_site_fract_z
K1 K 0.000 0.000 0.000
Hf1 Hf 0.000 0.000 0.488
Mg1 Mg 0.000 0.247 0.750
Mg2 Mg 0.245 0.000 0.662
Mg3 Mg 0.256 0.239 0.414
Mg4 Mg 0.260 0.000 0.172
Mg5 Mg 0.500 0.000 0.499
Mg6 Mg 0.500 0.000 0.998
Mg7 Mg 0.500 0.248 0.748
```

Main lines, sorted by position (2θ from 15° to 90°):
2θ 15.49, I = 30
2θ 15.73, I = 19
2θ 17.70, I = 39
2θ 17.91, I = 28
2θ 23.13, I = 18
2θ 31.28, I = 26
2θ 34.53, I = 35
2θ 35.85, I = 100
2θ 36.27, I = 43
2θ 62.73, I = 18

---

(3)
For Sm3DyS4, DFT lattice parameters and positions (PBE) gives the theoretical powder X-ray diffraction pattern in this record (copper Kα).
Kinematic intensities with the Lorentz-polarization factor, no thermal factor.

Structural model:
```
data_Sm3DyS4
_cell_length_a 3.996
_cell_length_b 5.652
_cell_length_c 7.926
_cell_angle_alpha 90.00
_cell_angle_beta 90.00
_cell_angle_gamma 90.00
_symmetry_space_group_name_H-M 'P m m m'
_symmetry_Int_Tables_number 47
loop_
_symmetry_equiv_pos_as_xyz
'x,y,z'
'-x,-y,-z'
'-x,-y,z'
'x,y,-z'
'x,-y,-z'
'-x,y,z'
'-x,y,-z'
'x,-y,z'
loop_
_atom_site_label
_atom_site_type_symbol
_atom_site_fract_x
_atom_site_fract_y
_atom_site_fract_z
Sm1 Sm 0.000 0.000 0.000
Sm2 Sm 0.500 0.500 0.247
Dy1 Dy 0.000 0.000 0.500
S1 S 0.000 0.500 0.000
S2 S 0.000 0.500 0.500
S3 S 0.500 0.000 0.258
```

Main lines, sorted by position (2θ from 15° to 90°):
2θ 27.33, I = 59
2θ 27.49, I = 59
2θ 31.66, I = 51
2θ 31.80, I = 100
2θ 45.47, I = 91
2θ 53.86, I = 39
2θ 54.15, I = 19
2θ 56.40, I = 19
2θ 56.74, I = 19
2θ 75.26, I = 24

---

(4)
For Rh, DFT lattice parameters and positions (PBE) gives the theoretical powder X-ray diffraction pattern in this record (copper Kα).
Kinematic intensities with the Lorentz-polarization factor, no thermal factor.

Structural model:
```
data_Rh
_cell_length_a 3.844
_cell_length_b 3.844
_cell_length_c 3.844
_cell_angle_alpha 90.00
_cell_angle_beta 90.00
_cell_angle_gamma 90.00
_symmetry_space_group_name_H-M 'F m -3 m'
_symmetry_Int_Tables_number 225
_symmetry_space_group_name_Hall '-F 4 2 3'
loop_
_atom_site_label
_atom_site_type_symbol
_atom_site_fract_x
_atom_site_fract_y
_atom_site_fract_z
Rh1 Rh 0.000 0.000 0.000
```

Main lines, sorted by position (2θ from 15° to 90°):
2θ 40.65, I = 100
2θ 47.30, I = 48
2θ 69.12, I = 30
2θ 83.39, I = 36
2θ 88.01, I = 11

---

(5)
For Sc5Si10Rh4, DFT lattice parameters and positions (PBE) gives the theoretical powder X-ray diffraction pattern in this record (copper Kα).
Kinematic intensities with the Lorentz-polarization factor, no thermal factor.

Structural model:
```
data_Sc5Si10Rh4
_cell_length_a 12.418
_cell_length_b 12.418
_cell_length_c 4.064
_cell_angle_alpha 90.00
_cell_angle_beta 90.00
_cell_angle_gamma 90.00
_symmetry_space_group_name_H-M 'P 4/m b m'
_symmetry_Int_Tables_number 127
_symmetry_space_group_name_Hall '-P 4 2ab'
loop_
_atom_site_label
_atom_site_type_symbol
_atom_site_fract_x
_atom_site_fract_y
_atom_site_fract_z
Sc1 Sc 0.000 0.000 0.000
Sc2 Sc 0.113 0.387 0.500
Sc3 Sc 0.175 0.675 0.500
Si1 Si 0.003 0.847 0.500
Si2 Si 0.066 0.566 0.000
Si3 Si 0.164 0.201 0.000
Rh1 Rh 0.021 0.754 0.000
```

Main lines, sorted by position (2θ from 15° to 90°):
2θ 20.23, I = 74
2θ 21.87, I = 42
2θ 28.76, I = 36
2θ 29.96, I = 51
2θ 36.42, I = 100
2θ 37.16, I = 33
2θ 37.88, I = 34
2θ 44.60, I = 44
2θ 46.24, I = 32
2θ 51.70, I = 36

---

(6)
For MgSi2, DFT lattice parameters and positions (PBE) gives the theoretical powder X-ray diffraction pattern in this record (copper Kα).
Kinematic intensities with the Lorentz-polarization factor, no thermal factor.

Structural model:
```
data_MgSi2
_cell_length_a 3.669
_cell_length_b 5.943
_cell_length_c 11.039
_cell_angle_alpha 102.60
_cell_angle_beta 91.71
_cell_angle_gamma 107.29
_symmetry_space_group_name_H-M 'P -1'
_symmetry_Int_Tables_number 2
loop_
_symmetry_equiv_pos_as_xyz
'x,y,z'
'-x,-y,-z'
loop_
_atom_site_label
_atom_site_type_symbol
_atom_site_fract_x
_atom_site_fract_y
_atom_site_fract_z
Mg1 Mg 0.064 0.013 0.355
Mg2 Mg 0.272 0.534 0.132
Si1 Si 0.047 0.095 0.913
Si2 Si 0.232 0.589 0.621
Si3 Si 0.409 0.834 0.827
Si4 Si 0.412 0.690 0.419
```

Main lines, sorted by position (2θ from 15° to 90°):
2θ 16.24, I = 44
2θ 33.44, I = 88
2θ 34.43, I = 100
2θ 34.64, I = 63
2θ 35.39, I = 62
2θ 40.89, I = 28
2θ 41.02, I = 43
2θ 41.34, I = 79
2θ 49.73, I = 46
2θ 56.74, I = 26